Diffraction record for TbErNi2Ge. The PXRD pattern is simulated, not measured: it uses DFT lattice parameters and positions (PBE) and Cu Kα (weighted mean of Kα1 and Kα2).
No peak broadening, texture or thermal motion is included.

Largest 12 diffraction maxima, low angle first, 2θ = 5–70°:
3.781 Å, I 11.4; 3.308 Å, I 19.8; 2.941 Å, I 25.6; 2.606 Å, I 100.0; 2.435 Å, I 62.0; 2.277 Å, I 46.8; 2.198 Å, I 41.6; 1.973 Å, I 26.3; 1.799 Å, I 19.6; 1.541 Å, I 11.8; 1.533 Å, I 37.2; 1.392 Å, I 18.6

Atomic structure:
```
5
Lattice="3.597 0.000 0.000 0.000 1.973 6.616 0.000 -1.973 6.616" Properties=species:S:1:pos:R:3 pbc="T T T"
Tb 0.000 0.000 0.000
Er 0.000 0.000 3.423
Ni 1.799 0.000 5.732
Ni 1.799 0.000 10.880
Ge 1.799 0.000 8.339
```



Diffraction record for PrGd2Sn3Ir2Pd. The PXRD pattern is simulated, not measured: it uses DFT lattice parameters and positions (PBE) and Cu Kα (weighted mean of Kα1 and Kα2).
No peak broadening, texture or thermal motion is included.

Largest 12 diffraction maxima, low angle first, 2θ = 5–70°:
2.766 Å, I 100.0; 2.547 Å, I 98.3; 2.471 Å, I 30.8; 2.462 Å, I 13.8; 2.182 Å, I 14.1; 2.174 Å, I 28.1; 2.112 Å, I 20.6; 2.035 Å, I 29.3; 1.571 Å, I 15.7; 1.486 Å, I 17.0; 1.407 Å, I 22.0; 1.403 Å, I 10.1

Atomic structure:
```
9
Lattice="4.070 0.000 0.000 0.000 6.546 3.760 0.000 -6.546 3.760" Properties=species:S:1:pos:R:3 pbc="T T T"
Pr 0.000 0.000 0.000
Gd 0.000 -2.700 2.866
Gd 0.000 2.700 2.866
Sn 2.035 0.000 2.479
Sn 2.035 -1.699 5.374
Sn 2.035 1.699 5.374
Ir 2.035 -4.320 4.420
Ir 2.035 4.320 4.420
Pd 0.000 0.000 4.380
```



Diffraction record for UH4C4N4Cl4. The PXRD pattern is simulated, not measured: it uses DFT lattice parameters and positions (PBE) and Cu Kα (weighted mean of Kα1 and Kα2).
No peak broadening, texture or thermal motion is included.

Largest 12 diffraction maxima, low angle first, 2θ = 5–70°:
6.272 Å, I 61.8; 5.627 Å, I 100.0; 4.435 Å, I 23.5; 3.483 Å, I 40.5; 3.148 Å, I 18.6; 2.814 Å, I 23.5; 2.805 Å, I 23.9; 2.739 Å, I 23.2; 2.331 Å, I 24.0; 2.221 Å, I 30.0; 2.070 Å, I 18.8; 2.063 Å, I 18.5

Atomic structure:
```
17
Lattice="-4.435 4.435 3.640 4.435 -4.435 3.640 4.435 4.435 -3.640" Properties=species:S:1:pos:R:3 pbc="T T T"
U 0.000 0.000 0.000
H 3.695 1.646 0.194
H 2.789 -0.741 3.445
H 1.646 5.176 -0.194
H 0.741 2.789 3.834
C 3.924 2.300 -0.639
C 2.135 -0.511 4.279
C 2.300 4.946 0.639
C 0.511 2.135 3.001
N 4.152 2.994 -1.539
N 0.283 1.441 2.101
N 1.441 -0.283 5.178
N 2.994 4.719 1.539
Cl 2.435 -0.534 0.756
Cl 6.435 0.534 0.756
Cl 4.969 -2.000 2.884
Cl 3.901 2.000 2.884
```



Diffraction record for InAs5Ir3. The PXRD pattern is simulated, not measured: it uses DFT lattice parameters and positions (PBE) and Cu Kα (weighted mean of Kα1 and Kα2).
No peak broadening, texture or thermal motion is included.

Largest 12 diffraction maxima, low angle first, 2θ = 5–70°:
7.142 Å, I 100.0; 4.002 Å, I 29.4; 3.571 Å, I 18.9; 2.790 Å, I 14.2; 2.599 Å, I 17.4; 2.416 Å, I 34.7; 2.381 Å, I 13.1; 2.289 Å, I 49.0; 2.001 Å, I 89.6; 1.696 Å, I 14.1; 1.436 Å, I 15.0; 1.395 Å, I 19.2

Atomic structure:
```
9
Lattice="5.580 0.000 0.000 -2.790 4.832 0.000 0.000 0.000 7.142" Properties=species:S:1:pos:R:3 pbc="T T T"
In 0.000 0.000 0.000
As 0.000 0.000 3.571
As 0.000 3.221 1.618
As 0.000 3.221 5.524
As 2.790 1.611 1.618
As 2.790 1.611 5.524
Ir -1.395 2.416 3.571
Ir 2.790 0.000 3.571
Ir 1.395 2.416 3.571
```